Theoretical powder X-ray diffraction pattern
Compound: Re5P3
Radiation: Cu Kα (λ = 1.5418 Å)
Structure: a DFT-relaxed cell (PBE, Alexandria)
Intensities are scaled so that the largest is 100.

Crystal structure
```
Re5P3
1.0
3.009 -4.249 0.000
3.009 4.249 0.000
0.000 0.000 4.327
Re P
5 3
Direct
0.000 0.000 0.000
0.000 0.500 0.000
0.253 0.253 0.500
0.500 0.000 0.000
0.747 0.747 0.500
0.236 0.764 0.500
0.500 0.500 0.000
0.764 0.236 0.500
```

Largest 10 diffraction maxima, sorted by position, 2θ from 10° to 80°:
| two_theta | d [Å] | I (rel.) |
| --- | --- | --- |
| 18.06 | 4.911 | 9 |
| 29.46 | 3.032 | 27 |
| 29.69 | 3.009 | 13 |
| 41.75 | 2.164 | 26 |
| 42.32 | 2.136 | 100 |
| 42.56 | 2.124 | 24 |
| 61.14 | 1.516 | 17 |
| 76.61 | 1.244 | 18 |
| 77.23 | 1.235 | 9 |
| 77.75 | 1.228 | 25 |

Theoretical powder X-ray diffraction pattern
Compound: Sm2Y13
Radiation: Cu Kα (λ = 1.5418 Å)
Structure: a DFT-relaxed cell (PBE, Alexandria)
Intensities are scaled so that the largest is 100.

Crystal structure
```
Sm2Y13
1.0
6.658 0.000 0.000
1.419 8.668 0.000
0.938 3.133 8.462
Sm Y
2 13
Direct
0.199 0.304 0.397
0.801 0.696 0.603
0.000 0.500 0.000
0.095 0.924 0.692
0.134 0.694 0.267
0.237 0.076 0.975
0.334 0.499 0.668
0.431 0.920 0.360
0.467 0.697 0.934
0.533 0.303 0.066
0.569 0.080 0.640
0.666 0.501 0.332
0.763 0.924 0.025
0.866 0.306 0.733
0.905 0.076 0.308
```

Largest 10 diffraction maxima, sorted by position, 2θ from 10° to 80°:
| two_theta | d [Å] | I (rel.) |
| --- | --- | --- |
| 25.61 | 3.479 | 7 |
| 30.03 | 2.976 | 19 |
| 31.75 | 2.818 | 100 |
| 31.83 | 2.812 | 27 |
| 37.18 | 2.418 | 10 |
| 46.69 | 1.945 | 10 |
| 56.65 | 1.625 | 23 |
| 57.63 | 1.600 | 8 |
| 61.64 | 1.505 | 23 |
| 66.46 | 1.407 | 8 |

Theoretical powder X-ray diffraction pattern
Compound: Nd2Y3Tm7
Radiation: Cu Kα (λ = 1.5418 Å)
Structure: a DFT-relaxed cell (PBE, Alexandria)
Intensities are scaled so that the largest is 100.

Crystal structure
```
Nd2Y3Tm7
1.0
2.825 -18.726 0.000
2.825 18.726 0.000
0.000 0.000 3.610
Nd Y Tm
2 3 7
Direct
0.146 0.854 0.000
0.854 0.146 0.000
0.314 0.686 0.500
0.500 0.500 0.500
0.686 0.314 0.500
0.000 0.000 0.000
0.070 0.930 0.500
0.230 0.770 0.000
0.411 0.589 0.000
0.589 0.411 0.000
0.770 0.230 0.000
0.930 0.070 0.500
```

Largest 10 diffraction maxima, sorted by position, 2θ from 10° to 80°:
| two_theta | d [Å] | I (rel.) |
| --- | --- | --- |
| 28.60 | 3.121 | 12 |
| 30.66 | 2.916 | 24 |
| 31.29 | 2.859 | 17 |
| 31.72 | 2.821 | 100 |
| 33.90 | 2.644 | 28 |
| 34.95 | 2.567 | 17 |
| 45.12 | 2.009 | 12 |
| 56.47 | 1.630 | 12 |
| 60.13 | 1.539 | 11 |
| 60.91 | 1.521 | 12 |

Theoretical powder X-ray diffraction pattern
Compound: PrNd2
Radiation: Cu Kα (λ = 1.5418 Å)
Structure: a DFT-relaxed cell (PBE, Alexandria)
Intensities are scaled so that the largest is 100.

Crystal structure
```
PrNd2
1.0
-1.846 1.846 7.851
1.846 -1.846 7.851
1.846 1.846 -7.851
Pr Nd
1 2
Direct
0.000 0.000 0.000
0.333 0.333 0.000
0.667 0.667 0.000
```

Largest 9 diffraction maxima, sorted by position, 2θ from 10° to 80°:
| two_theta | d [Å] | I (rel.) |
| --- | --- | --- |
| 29.61 | 3.017 | 100 |
| 34.32 | 2.613 | 51 |
| 49.32 | 1.848 | 36 |
| 58.51 | 1.577 | 15 |
| 58.62 | 1.575 | 29 |
| 61.46 | 1.509 | 13 |
| 72.19 | 1.309 | 2 |
| 72.38 | 1.306 | 4 |
| 80.00 | 1.199 | 12 |

Theoretical powder X-ray diffraction pattern
Compound: AcIrO5
Radiation: Cu Kα (λ = 1.5418 Å)
Structure: a DFT-relaxed cell (PBE, Alexandria)
Intensities are scaled so that the largest is 100.

Crystal structure
```
AcIrO5
1.0
4.753 -3.420 0.000
4.753 3.420 0.000
-3.117 0.000 7.145
Ac Ir O
2 2 10
Direct
0.048 0.952 0.750
0.952 0.048 0.250
0.500 0.500 0.000
0.500 0.500 0.500
0.209 0.770 0.033
0.230 0.791 0.467
0.277 0.304 0.395
0.304 0.277 0.895
0.422 0.578 0.750
0.578 0.422 0.250
0.696 0.723 0.105
0.723 0.696 0.605
0.770 0.209 0.533
0.791 0.230 0.967
```

Largest 10 diffraction maxima, sorted by position, 2θ from 10° to 80°:
| two_theta | d [Å] | I (rel.) |
| --- | --- | --- |
| 20.39 | 4.356 | 100 |
| 26.05 | 3.420 | 44 |
| 26.32 | 3.386 | 99 |
| 33.33 | 2.688 | 71 |
| 33.68 | 2.661 | 38 |
| 41.45 | 2.178 | 20 |
| 46.12 | 1.968 | 18 |
| 46.61 | 1.949 | 14 |
| 49.58 | 1.839 | 31 |
| 50.01 | 1.824 | 16 |

Theoretical powder X-ray diffraction pattern
Compound: BaSi4Pt2
Radiation: Cu Kα (λ = 1.5418 Å)
Structure: a DFT-relaxed cell (PBE, Alexandria)
Intensities are scaled so that the largest is 100.

Crystal structure
```
BaSi4Pt2
1.0
-3.451 3.451 3.197
3.451 -3.451 3.197
3.451 3.451 -3.197
Ba Si Pt
1 4 2
Direct
0.000 0.000 0.000
0.255 0.500 0.755
0.500 0.255 0.755
0.500 0.745 0.245
0.745 0.500 0.245
0.250 0.750 0.500
0.750 0.250 0.500
```

Largest 10 diffraction maxima, sorted by position, 2θ from 10° to 80°:
| two_theta | d [Å] | I (rel.) |
| --- | --- | --- |
| 18.18 | 4.880 | 50 |
| 25.82 | 3.451 | 96 |
| 32.21 | 2.779 | 29 |
| 33.51 | 2.674 | 100 |
| 36.84 | 2.440 | 23 |
| 46.84 | 1.940 | 20 |
| 50.65 | 1.802 | 61 |
| 53.08 | 1.725 | 20 |
| 64.23 | 1.450 | 30 |
| 76.42 | 1.246 | 19 |

Theoretical powder X-ray diffraction pattern
Compound: TaTi3Fe2
Radiation: Cu Kα (λ = 1.5418 Å)
Structure: a DFT-relaxed cell (PBE, Alexandria)
Intensities are scaled so that the largest is 100.

Crystal structure
```
TaTi3Fe2
1.0
2.974 0.000 0.000
0.000 2.974 0.000
0.000 0.000 9.826
Ta Ti Fe
1 3 2
Direct
0.000 0.000 0.000
0.500 0.500 0.201
0.500 0.500 0.500
0.500 0.500 0.799
0.000 0.000 0.350
0.000 0.000 0.650
```

Largest 10 diffraction maxima, sorted by position, 2θ from 10° to 80°:
| two_theta | d [Å] | I (rel.) |
| --- | --- | --- |
| 18.06 | 4.913 | 14 |
| 27.23 | 3.275 | 12 |
| 30.05 | 2.974 | 16 |
| 31.43 | 2.846 | 20 |
| 35.28 | 2.544 | 26 |
| 40.99 | 2.202 | 100 |
| 43.02 | 2.103 | 49 |
| 62.46 | 1.487 | 15 |
| 64.98 | 1.435 | 14 |
| 77.46 | 1.232 | 28 |

Theoretical powder X-ray diffraction pattern
Compound: Hg3ClO2
Radiation: Cu Kα (λ = 1.5418 Å)
Structure: a DFT-relaxed cell (PBE, Alexandria)
Intensities are scaled so that the largest is 100.

Crystal structure
```
Hg3ClO2
1.0
6.636 0.000 0.000
0.000 3.787 0.000
-0.164 0.000 10.593
Hg Cl O
6 2 4
Direct
0.098 0.250 0.131
0.263 0.250 0.385
0.400 0.250 0.830
0.600 0.750 0.170
0.737 0.750 0.615
0.902 0.750 0.869
0.254 0.750 0.572
0.746 0.250 0.428
0.120 0.250 0.908
0.313 0.750 0.242
0.687 0.250 0.758
0.880 0.750 0.092
```

Largest 10 diffraction maxima, sorted by position, 2θ from 10° to 80°:
| two_theta | d [Å] | I (rel.) |
| --- | --- | --- |
| 21.63 | 4.109 | 34 |
| 27.11 | 3.289 | 100 |
| 28.06 | 3.180 | 81 |
| 28.47 | 3.135 | 57 |
| 31.92 | 2.804 | 55 |
| 32.09 | 2.789 | 69 |
| 33.85 | 2.648 | 43 |
| 34.73 | 2.583 | 39 |
| 44.07 | 2.055 | 64 |
| 56.59 | 1.626 | 33 |